PuVH2O6: simulated powder diffraction line list (CuKα), based on a PBE+U-relaxed structure.
Neutral-atom scattering factors, no anomalous dispersion.

Main lines, in order of rising 2θ (2θ from 15° to 90°):
2θ/deg, Rel. int., h k l
18.71, 490, 0 0 1
19.97, 392, 1 0 0
20.55, 420, 0 1 1
21.27, 410, 1 1 0
22.18, 1000, 0 1 0
23.79, 855, 1 0 -1
23.90, 818, 1 1 1
30.80, 395, 1 0 1
32.46, 327, 1 1 -1
32.75, 289, 0 1 2

Crystal structure
Lattice parameters (Å, degrees): 5.1159 5.1787 5.4963 62.96 89.87 63.78
Positions (direct):
Pu (0.0000, 0.0000, 0.0000)
V (0.5000, 0.0000, 0.5000)
H (0.4092, 0.5060, 0.7056)
H (0.5908, 0.4940, 0.2944)
O (0.1423, 0.1160, 0.2344)
O (0.2569, 0.1231, 0.7249)
O (0.4145, 0.4709, 0.2668)
O (0.5855, 0.5291, 0.7332)
O (0.7431, 0.8769, 0.2751)
O (0.8577, 0.8840, 0.7656)